The following is a simulated powder diffractogram of ZnH2S2O8. It was derived from the GGA-PBE geometry in the Materials Project, using Cu Kα (λ = 1.5418 Å).

Main lines, most intense first (2θ from 5° to 70°):
| Position (°2θ) | d/Å | intensity |
| --- | --- | --- |
| 15.98 | 5.546 | 100 |
| 22.71 | 3.915 | 48 |
| 25.61 | 3.479 | 43 |
| 24.42 | 3.645 | 40 |
| 29.81 | 2.997 | 35 |
| 32.28 | 2.773 | 33 |
| 23.26 | 3.824 | 33 |
| 29.35 | 3.043 | 29 |

Atomic structure:
Unit cell a=4.976 b=8.377 c=8.315 alpha=90.00 beta=117.13 gamma=90.00
Element x y z (fractional)
Zn 0.000 0.000 0.000
Zn 0.000 0.500 0.500
H 0.443 0.021 0.657
H 0.443 0.479 0.157
H 0.557 0.521 0.843
H 0.557 0.979 0.343
S 0.339 0.676 0.280
S 0.339 0.824 0.780
S 0.661 0.176 0.220
S 0.661 0.324 0.720
O 0.084 0.623 0.308
O 0.084 0.877 0.808
O 0.303 0.655 0.721
O 0.303 0.845 0.221
O 0.330 0.584 0.114
O 0.330 0.916 0.614
O 0.367 0.150 0.063
O 0.367 0.350 0.563
O 0.633 0.650 0.437
O 0.633 0.850 0.937
O 0.670 0.084 0.386
O 0.670 0.416 0.886
O 0.697 0.155 0.779
O 0.697 0.345 0.279
O 0.916 0.123 0.192
O 0.916 0.377 0.692